# 1
Diffraction record for Mn5Fe2BC2. The X-ray powder pattern is calculated, not measured: it uses a DFT-relaxed cell (PBE, the Materials Project) and a wavelength of 1.5418 Å.

Structure:
```
Mn5Fe2BC2
1.0
4.4034 0.0000 0.0000
0.0000 6.7628 0.0000
0.0000 0.0000 12.0385
Mn Fe B C
20 8 4 8
Direct
0.0589 0.0621 0.1913
0.0589 0.4379 0.1913
0.2474 0.5618 0.4756
0.2470 0.7500 0.0933
0.2474 0.9382 0.4756
0.2526 0.0618 0.9756
0.2530 0.2500 0.5933
0.2526 0.4382 0.9756
0.4411 0.5621 0.6913
0.4411 0.9379 0.6913
0.5589 0.0621 0.3087
0.5589 0.4379 0.3087
0.7474 0.5618 0.0244
0.7470 0.7500 0.4067
0.7474 0.9382 0.0244
0.7526 0.0618 0.5244
0.7530 0.2500 0.9067
0.7526 0.4382 0.5244
0.9411 0.5621 0.8087
0.9411 0.9379 0.8087
0.0494 0.2500 0.3703
0.2312 0.7500 0.2983
0.2688 0.2500 0.7983
0.4506 0.7500 0.8703
0.5494 0.2500 0.1297
0.7312 0.7500 0.2017
0.7688 0.2500 0.7017
0.9506 0.7500 0.6297
0.0407 0.7500 0.9415
0.4593 0.2500 0.4415
0.5407 0.7500 0.5585
0.9593 0.2500 0.0585
0.0262 0.0267 0.6540
0.0262 0.4733 0.6540
0.4738 0.5267 0.1540
0.4738 0.9733 0.1540
0.5262 0.0267 0.8460
0.5262 0.4733 0.8460
0.9738 0.5267 0.3460
0.9738 0.9733 0.3460
```

Peak list (6 most intense, 10° ≤ 2θ ≤ 90°, in order of falling intensity)
| d (Å) | two_theta | I (rel.) |
| --- | --- | --- |
| 2.003 | 45.3 | 1000 |
| 2.016 | 45.0 | 891 |
| 2.063 | 43.9 | 813 |
| 1.979 | 45.8 | 726 |
| 1.764 | 51.8 | 645 |
| 2.230 | 40.5 | 437 |

# 2
Diffraction record for GdB2C2. The X-ray powder pattern is calculated, not measured: it uses a DFT-relaxed cell (PBE, the Materials Project) and a wavelength of 1.5418 Å.

Structure:
```
GdB2C2
1.0
3.8142 0.0000 0.0000
0.0000 3.8142 0.0000
0.0000 0.0000 7.3726
Gd B C
2 4 4
Direct
0.0000 0.0000 0.2500
0.0000 0.0000 0.7500
0.2166 0.5000 0.0000
0.5000 0.2166 0.5000
0.5000 0.7834 0.5000
0.7834 0.5000 0.0000
0.1866 0.5000 0.5000
0.5000 0.1866 0.0000
0.5000 0.8134 0.0000
0.8134 0.5000 0.5000
```

Peak list (6 most intense, 10° ≤ 2θ ≤ 90°, in order of falling intensity)
| d (Å) | two_theta | I (rel.) |
| --- | --- | --- |
| 2.651 | 33.8 | 1000 |
| 3.814 | 23.3 | 891 |
| 2.177 | 41.5 | 554 |
| 2.697 | 33.2 | 380 |
| 1.706 | 53.7 | 280 |
| 1.548 | 59.7 | 267 |

# 3
Diffraction record for GdB2C2. The X-ray powder pattern is calculated, not measured: it uses a DFT-relaxed cell (PBE, the Materials Project) and a wavelength of 1.5418 Å.

Structure:
```
GdB2C2
1.0
5.3531 0.0000 0.0000
0.0000 5.3531 0.0000
0.0000 0.0000 3.6554
Gd B C
2 4 4
Direct
0.0000 0.0000 0.0000
0.5000 0.5000 0.0000
0.1368 0.3632 0.5000
0.3632 0.8632 0.5000
0.6368 0.1368 0.5000
0.8632 0.6368 0.5000
0.1616 0.6616 0.5000
0.3384 0.1616 0.5000
0.6616 0.8384 0.5000
0.8384 0.3384 0.5000
```

Peak list (6 most intense, 10° ≤ 2θ ≤ 90°, in order of falling intensity)
| d (Å) | two_theta | I (rel.) |
| --- | --- | --- |
| 2.629 | 34.1 | 1000 |
| 3.785 | 23.5 | 897 |
| 2.160 | 41.8 | 556 |
| 2.677 | 33.5 | 380 |
| 1.693 | 54.2 | 279 |
| 1.536 | 60.2 | 268 |

# 4
Diffraction record for GdB2Rh2C. The X-ray powder pattern is calculated, not measured: it uses a DFT-relaxed cell (PBE, the Materials Project) and a wavelength of 1.5418 Å.

Structure:
```
GdB2Rh2C
1.0
3.8203 0.0000 0.0000
0.0000 3.8203 0.0000
0.0000 0.0000 10.3708
Gd B Rh C
2 4 4 2
Direct
0.0000 0.0000 0.0000
0.5000 0.5000 0.5000
0.0000 0.0000 0.3555
0.0000 0.0000 0.6445
0.5000 0.5000 0.1445
0.5000 0.5000 0.8555
0.0000 0.5000 0.2500
0.0000 0.5000 0.7500
0.5000 0.0000 0.2500
0.5000 0.0000 0.7500
0.0000 0.0000 0.5000
0.5000 0.5000 0.0000
```

Peak list (6 most intense, 10° ≤ 2θ ≤ 90°, in order of falling intensity)
| d (Å) | two_theta | I (rel.) |
| --- | --- | --- |
| 2.396 | 37.5 | 1000 |
| 3.585 | 24.8 | 363 |
| 2.593 | 34.6 | 296 |
| 1.910 | 47.6 | 276 |
| 1.538 | 60.2 | 236 |
| 2.563 | 35.0 | 220 |

Copy entry 4 word for word.
Diffraction record for GdB2Rh2C. The X-ray powder pattern is calculated, not measured: it uses a DFT-relaxed cell (PBE, the Materials Project) and a wavelength of 1.5418 Å.

Structure:
```
GdB2Rh2C
1.0
3.8203 0.0000 0.0000
0.0000 3.8203 0.0000
0.0000 0.0000 10.3708
Gd B Rh C
2 4 4 2
Direct
0.0000 0.0000 0.0000
0.5000 0.5000 0.5000
0.0000 0.0000 0.3555
0.0000 0.0000 0.6445
0.5000 0.5000 0.1445
0.5000 0.5000 0.8555
0.0000 0.5000 0.2500
0.0000 0.5000 0.7500
0.5000 0.0000 0.2500
0.5000 0.0000 0.7500
0.0000 0.0000 0.5000
0.5000 0.5000 0.0000
```

Peak list (6 most intense, 10° ≤ 2θ ≤ 90°, in order of falling intensity)
| d (Å) | two_theta | I (rel.) |
| --- | --- | --- |
| 2.396 | 37.5 | 1000 |
| 3.585 | 24.8 | 363 |
| 2.593 | 34.6 | 296 |
| 1.910 | 47.6 | 276 |
| 1.538 | 60.2 | 236 |
| 2.563 | 35.0 | 220 |